[1]
Calculated powder X-ray diffraction pattern of RbNb2PSe10 for Cu Kα, 1.54184 Å, from a structure optimized by DFT (PBE).

Main lines, by intensity (10 to 80 degrees two-theta):
Position (°2θ)  I_rel  hkl
12.0  100.0  1 0 0
10.9  77.9  0 1 0
16.3  46.4  1 1 0
32.8  41.5  1 0 4
34.7  37.6  1 2 3
30.8  34.8  2 0 -4

Lattice parameters (Å, degrees): 7.6744 8.1046 13.7743 90.00 106.77 90.00
Space group Pc (No. 7)
Inequivalent atoms, fractional coordinates:
1 Rb 0.0000 0.0108 0.0000 (multiplicity 2)
2 Nb 0.4440 0.4391 0.2687 (multiplicity 2)
3 Nb 0.4518 0.4403 0.9756 (multiplicity 2)
4 P 0.5928 0.0959 0.1487 (multiplicity 2)
5 Se 0.1925 0.3655 0.3582 (multiplicity 2)
6 Se 0.1936 0.3610 0.8085 (multiplicity 2)
7 Se 0.1978 0.4400 0.0827 (multiplicity 2)
8 Se 0.3940 0.1054 0.2394 (multiplicity 2)
9 Se 0.4029 0.3366 0.6152 (multiplicity 2)
10 Se 0.4587 0.0949 0.9812 (multiplicity 2)
11 Se 0.6925 0.3510 0.4432 (multiplicity 2)
12 Se 0.6972 0.3587 0.1647 (multiplicity 2)
13 Se 0.7115 0.3814 0.8831 (multiplicity 2)
14 Se 0.7928 0.0985 0.6981 (multiplicity 2)



[2]
Calculated powder X-ray diffraction pattern of NbPRh for Cu Kα, 1.54184 Å, from a structure optimized by DFT (PBE).

Main lines, by intensity (10 to 80 degrees two-theta):
Position (°2θ)  I_rel  hkl
37.2  100.0  1 1 2
39.0  65.1  2 1 1
44.5  61.3  3 0 1
36.9  53.9  2 1 0
48.0  39.1  0 2 0
40.0  33.8  1 0 3

Lattice parameters (Å, degrees): 6.3687 3.7926 7.2219 90.00 90.00 90.00
Space group Pnma (No. 62)
Inequivalent atoms, fractional coordinates:
1 Nb 0.0301 0.2500 0.1677 (multiplicity 4)
2 P 0.2354 0.7500 0.3750 (multiplicity 4)
3 Rh 0.1489 0.2500 0.5619 (multiplicity 4)



[3]
Calculated powder X-ray diffraction pattern of NbP2S8 for Cu Kα, 1.54184 Å, from a structure optimized by DFT (PBE).

Main lines, by intensity (10 to 80 degrees two-theta):
Position (°2θ)  I_rel  hkl
11.9  100.0  1 1 1
16.4  16.2  0 0 2
17.2  12.3  2 2 0
28.5  10.3  5 1 2
34.7  6.0  6 2 2
23.8  5.5  2 2 2

Lattice parameters (Å, degrees): 20.2994 11.9658 10.8220 90.00 90.00 90.00
Space group Cmce (No. 64)
Inequivalent atoms, fractional coordinates:
1 Nb 0.0717 0.0000 0.0000 (multiplicity 8)
2 P 0.1893 0.1851 0.0136 (multiplicity 16)
3 S 0.0000 0.0141 0.8097 (multiplicity 8)
4 S 0.0000 0.1390 0.1111 (multiplicity 8)
5 S 0.1144 0.1839 0.8925 (multiplicity 16)
6 S 0.1672 0.0772 0.1480 (multiplicity 16)
7 S 0.2170 0.1534 0.5732 (multiplicity 16)



[4]
Calculated powder X-ray diffraction pattern of NbP2S8 for Cu Kα, 1.54184 Å, from a structure optimized by DFT (PBE).

Main lines, by intensity (10 to 80 degrees two-theta):
Position (°2θ)  I_rel  hkl
13.6  100.0  1 0 1
35.1  29.3  3 2 2
16.1  18.8  2 1 0
10.2  17.5  1 1 0
14.4  12.5  2 0 0
25.7  12.5  3 1 1

Lattice parameters (Å, degrees): 12.2795 12.2795 7.7176 90.00 90.00 90.00
Space group P-4n2 (No. 118)
Inequivalent atoms, fractional coordinates:
1 Nb 0.0836 0.4164 0.2500 (multiplicity 4)
2 P 0.0740 0.1742 0.0758 (multiplicity 8)
3 S 0.0074 0.7758 0.2876 (multiplicity 8)
4 S 0.0226 0.8531 0.8498 (multiplicity 8)
5 S 0.0578 0.5586 0.4831 (multiplicity 8)
6 S 0.1813 0.2886 0.0103 (multiplicity 8)



[5]
Calculated powder X-ray diffraction pattern of NbPS for Cu Kα, 1.54184 Å, from a structure optimized by DFT (PBE).

Main lines, by intensity (10 to 80 degrees two-theta):
Position (°2θ)  I_rel  hkl
34.2  100.0  1 0 3
20.2  90.2  0 1 1
44.2  85.3  1 1 4
47.2  61.4  1 2 1
42.0  40.7  0 1 5
32.1  35.6  1 1 0

Lattice parameters (Å, degrees): 3.4530 4.7325 12.0732 90.00 90.00 90.00
Space group Immm (No. 71)
Inequivalent atoms, fractional coordinates:
1 Nb 0.0000 0.0000 0.1242 (multiplicity 4)
2 P 0.0000 0.2363 0.5000 (multiplicity 4)
3 S 0.0000 0.5000 0.2127 (multiplicity 4)



[6]
Calculated powder X-ray diffraction pattern of Nb5Si3P for Cu Kα, 1.54184 Å, from a structure optimized by DFT (PBE).

Main lines, by intensity (10 to 80 degrees two-theta):
Position (°2θ)  I_rel  hkl
40.3  100.0  3 0 0
39.1  43.8  2 1 1
35.4  25.5  2 1 0
28.2  25.4  1 1 1
62.6  19.8  2 1 3
58.3  15.7  2 2 2

Lattice parameters (Å, degrees): 7.7552 7.7552 5.4795 90.00 90.00 120.00
Space group P6_3/mcm (No. 193)
Inequivalent atoms, fractional coordinates:
1 Nb 0.0000 0.2630 0.2500 (multiplicity 6)
2 Nb 0.3333 0.6667 0.0000 (multiplicity 4)
3 Si 0.0000 0.4004 0.7500 (multiplicity 6)
4 P 0.0000 0.0000 0.0000 (multiplicity 2)



[7]
Calculated powder X-ray diffraction pattern of NbVP for Cu Kα, 1.54184 Å, from a structure optimized by DFT (PBE).

Main lines, by intensity (10 to 80 degrees two-theta):
Position (°2θ)  I_rel  hkl
37.8  100.0  1 1 2
40.2  77.6  2 1 1
37.6  53.7  1 0 3
38.4  35.5  2 1 0
53.6  25.1  0 2 0
67.3  24.3  1 2 3

Lattice parameters (Å, degrees): 6.4257 3.4197 7.7209 90.00 90.00 90.00
Space group Pnma (No. 62)
Inequivalent atoms, fractional coordinates:
1 Nb 0.0377 0.2500 0.1687 (multiplicity 4)
2 V 0.1357 0.2500 0.5579 (multiplicity 4)
3 P 0.2390 0.7500 0.3615 (multiplicity 4)



[8]
Calculated powder X-ray diffraction pattern of NbPbS2 for Cu Kα, 1.54184 Å, from a structure optimized by DFT (PBE).

Main lines, by intensity (10 to 80 degrees two-theta):
Position (°2θ)  I_rel  hkl
32.0  100.0  1 0 2
43.1  91.0  1 0 6
19.8  75.5  0 0 4
30.4  58.8  1 0 0
54.1  30.8  1 1 0
58.1  27.0  1 1 4

Lattice parameters (Å, degrees): 3.3933 3.3933 17.9564 90.00 90.00 120.00
Space group P6_3/mmc (No. 194)
Inequivalent atoms, fractional coordinates:
1 Nb 0.3333 0.6667 0.2500 (multiplicity 2)
2 Pb 0.0000 0.0000 0.0000 (multiplicity 2)
3 S 0.0000 0.0000 0.1639 (multiplicity 4)